Calculated XRD peak list
Compound: K2H4Pd
Radiation: Cu Ka
Structure: a PBE-relaxed structure
Intensities are scaled so that the largest is 1000.

Top 8 peaks for 10 to 80 degrees two-theta, sorted by position:
d (Å), 2θ/deg, I/Imax
4.684, 18.95, 1000
2.949, 30.31, 433
2.830, 31.61, 820
2.496, 35.99, 360
2.355, 38.22, 161
2.085, 43.39, 167
1.840, 49.53, 144
1.679, 54.67, 310

Cell and atoms:
Cell lengths 5.678, 5.678, 5.678 Å; angles 117.41, 117.41, 94.54 degrees
Fractional positions:
K (0.250, 0.750, 0.500)
K (0.750, 0.250, 0.500)
H (0.199, 0.199, 0.398)
H (0.199, 0.801, 0.000)
H (0.801, 0.199, 0.000)
H (0.801, 0.801, 0.602)
Pd (0.000, 0.000, 0.000)

Calculated XRD peak list
Compound: K2ReH9
Radiation: Cu Ka
Structure: a PBE-relaxed structure
Intensities are scaled so that the largest is 1000.

Top 8 peaks for 10 to 80 degrees two-theta, sorted by position:
d (Å), 2θ/deg, I/Imax
4.798, 18.49, 1000
4.648, 19.09, 832
3.646, 24.42, 311
3.339, 26.70, 906
2.770, 32.31, 497
2.741, 32.68, 686
2.421, 37.14, 322
1.971, 46.06, 378

Cell and atoms:
Cell lengths 9.597, 9.597, 5.607 Å; angles 90.00, 90.00, 120.00 degrees
Fractional positions:
K (0.000, 0.262, 0.000)
K (0.000, 0.589, 0.500)
K (0.262, 0.000, 0.000)
K (0.411, 0.411, 0.500)
K (0.589, 0.000, 0.500)
K (0.738, 0.738, 0.000)
Re (0.000, 0.000, 0.500)
Re (0.333, 0.667, 0.000)
Re (0.667, 0.333, 0.000)
H (0.000, 0.176, 0.500)
H (0.000, 0.873, 0.286)
H (0.000, 0.873, 0.714)
H (0.127, 0.127, 0.286)
H (0.127, 0.127, 0.714)
H (0.143, 0.631, 0.000)
H (0.176, 0.000, 0.500)
H (0.224, 0.532, 0.220)
H (0.224, 0.532, 0.780)
H (0.308, 0.776, 0.220)
H (0.308, 0.776, 0.780)
H (0.369, 0.511, 0.000)
H (0.468, 0.692, 0.220)
H (0.468, 0.692, 0.780)
H (0.489, 0.857, 0.000)
H (0.511, 0.369, 0.000)
H (0.532, 0.224, 0.220)
H (0.532, 0.224, 0.780)
H (0.631, 0.143, 0.000)
H (0.692, 0.468, 0.220)
H (0.692, 0.468, 0.780)
H (0.776, 0.308, 0.220)
H (0.776, 0.308, 0.780)
H (0.824, 0.824, 0.500)
H (0.857, 0.489, 0.000)
H (0.873, 0.000, 0.286)
H (0.873, 0.000, 0.714)

Calculated XRD peak list
Compound: K3ReH6
Radiation: Cu Ka
Structure: a PBE-relaxed structure
Intensities are scaled so that the largest is 1000.

Top 8 peaks for 10 to 80 degrees two-theta, sorted by position:
d (Å), 2θ/deg, I/Imax
4.997, 17.75, 482
4.327, 20.53, 264
3.060, 29.19, 1000
2.609, 34.37, 282
2.164, 41.75, 193
1.985, 45.70, 129
1.767, 51.75, 381
1.368, 68.58, 161

Cell and atoms:
Cell lengths 6.119, 6.119, 6.119 Å; angles 60.00, 60.00, 60.00 degrees
Fractional positions:
K (0.000, 0.000, 0.000)
K (0.250, 0.250, 0.250)
K (0.750, 0.750, 0.750)
Re (0.500, 0.500, 0.500)
H (0.294, 0.294, 0.706)
H (0.294, 0.706, 0.294)
H (0.294, 0.706, 0.706)
H (0.706, 0.294, 0.294)
H (0.706, 0.294, 0.706)
H (0.706, 0.706, 0.294)

Calculated XRD peak list
Compound: KSiH3
Radiation: Cu Ka
Structure: a PBE-relaxed structure
Intensities are scaled so that the largest is 1000.

Top 8 peaks for 10 to 80 degrees two-theta, sorted by position:
d (Å), 2θ/deg, I/Imax
3.844, 23.14, 272
3.439, 25.91, 931
3.216, 27.74, 530
3.077, 29.02, 1000
2.766, 32.37, 696
2.711, 33.05, 445
2.115, 42.74, 286
2.073, 43.66, 354

Cell and atoms:
Cell lengths 8.890, 5.421, 6.900 Å; angles 90.00, 90.00, 90.00 degrees
Fractional positions:
K (0.185, 0.250, 0.156)
K (0.315, 0.750, 0.656)
K (0.685, 0.250, 0.344)
K (0.815, 0.750, 0.844)
Si (0.049, 0.250, 0.650)
Si (0.451, 0.750, 0.150)
Si (0.549, 0.250, 0.850)
Si (0.951, 0.750, 0.350)
H (0.081, 0.043, 0.800)
H (0.081, 0.457, 0.800)
H (0.122, 0.750, 0.307)
H (0.378, 0.250, 0.807)
H (0.419, 0.543, 0.300)
H (0.419, 0.957, 0.300)
H (0.581, 0.043, 0.700)
H (0.581, 0.457, 0.700)
H (0.622, 0.750, 0.193)
H (0.878, 0.250, 0.693)
H (0.919, 0.543, 0.200)
H (0.919, 0.957, 0.200)

Calculated XRD peak list
Compound: K3ZnH5
Radiation: Cu Ka
Structure: a PBE-relaxed structure
Intensities are scaled so that the largest is 1000.

Top 8 peaks for 10 to 80 degrees two-theta, sorted by position:
d (Å), 2θ/deg, I/Imax
5.360, 16.54, 137
3.245, 27.49, 236
3.140, 28.43, 1000
2.803, 31.93, 247
2.680, 33.44, 262
2.511, 35.76, 138
1.937, 46.90, 188
1.676, 54.77, 139

Cell and atoms:
Cell lengths 7.756, 7.756, 7.756 Å; angles 121.50, 121.50, 87.43 degrees
Fractional positions:
K (0.182, 0.682, 0.864)
K (0.250, 0.250, 0.000)
K (0.318, 0.182, 0.500)
K (0.682, 0.818, 0.500)
K (0.750, 0.750, 0.000)
K (0.818, 0.318, 0.136)
Zn (0.250, 0.750, 0.500)
Zn (0.750, 0.250, 0.500)
H (0.000, 0.000, 0.000)
H (0.037, 0.786, 0.500)
H (0.214, 0.714, 0.251)
H (0.286, 0.537, 0.500)
H (0.463, 0.963, 0.750)
H (0.500, 0.500, 0.000)
H (0.537, 0.037, 0.250)
H (0.714, 0.463, 0.500)
H (0.786, 0.286, 0.749)
H (0.963, 0.214, 0.500)

Calculated XRD peak list
Compound: K2ZnH4
Radiation: Cu Ka
Structure: a PBE-relaxed structure
Intensities are scaled so that the largest is 1000.

Top 8 peaks for 10 to 80 degrees two-theta, sorted by position:
d (Å), 2θ/deg, I/Imax
4.263, 20.84, 327
3.466, 25.70, 331
3.109, 28.71, 361
3.095, 28.84, 896
2.964, 30.15, 1000
2.928, 30.53, 702
2.359, 38.14, 321
2.315, 38.91, 276

Cell and atoms:
Cell lengths 7.797, 5.856, 10.310 Å; angles 90.00, 90.00, 90.00 degrees
Fractional positions:
K (0.012, 0.250, 0.187)
K (0.161, 0.750, 0.409)
K (0.339, 0.250, 0.909)
K (0.488, 0.750, 0.687)
K (0.512, 0.250, 0.313)
K (0.661, 0.750, 0.091)
K (0.839, 0.250, 0.591)
K (0.988, 0.750, 0.813)
Zn (0.235, 0.750, 0.082)
Zn (0.265, 0.250, 0.582)
Zn (0.735, 0.750, 0.418)
Zn (0.765, 0.250, 0.918)
H (0.023, 0.750, 0.087)
H (0.188, 0.018, 0.654)
H (0.188, 0.482, 0.654)
H (0.193, 0.250, 0.429)
H (0.307, 0.750, 0.929)
H (0.312, 0.518, 0.154)
H (0.312, 0.982, 0.154)
H (0.477, 0.250, 0.587)
H (0.523, 0.750, 0.413)
H (0.688, 0.018, 0.846)
H (0.688, 0.482, 0.846)
H (0.693, 0.250, 0.071)
H (0.807, 0.750, 0.571)
H (0.812, 0.518, 0.346)
H (0.812, 0.982, 0.346)
H (0.977, 0.250, 0.913)

Calculated XRD peak list
Compound: LaH3
Radiation: Cu Ka
Structure: a PBE-relaxed structure
Intensities are scaled so that the largest is 1000.

Top 8 peaks for 10 to 80 degrees two-theta, sorted by position:
d (Å), 2θ/deg, I/Imax
3.199, 27.89, 1000
3.056, 29.22, 222
2.655, 33.77, 304
2.004, 45.25, 287
1.791, 51.00, 190
1.619, 56.87, 274
1.599, 57.63, 131
1.296, 73.03, 130

Cell and atoms:
Cell lengths 4.048, 4.048, 4.048 Å; angles 124.75, 124.75, 81.96 degrees
Fractional positions:
La (0.000, 0.000, 0.000)
H (0.250, 0.750, 0.500)
H (0.500, 0.500, 0.000)
H (0.750, 0.250, 0.500)

Calculated XRD peak list
Compound: LaH3
Radiation: Cu Ka
Structure: a PBE-relaxed structure
Intensities are scaled so that the largest is 1000.

Top 8 peaks for 10 to 80 degrees two-theta, sorted by position:
d (Å), 2θ/deg, I/Imax
3.219, 27.72, 1000
2.787, 32.11, 512
1.971, 46.05, 403
1.681, 54.60, 457
1.609, 57.25, 132
1.394, 67.17, 63
1.279, 74.14, 184
1.247, 76.41, 169

Cell and atoms:
Cell lengths 3.942, 3.942, 3.942 Å; angles 60.00, 60.00, 60.00 degrees
Fractional positions:
La (0.000, 0.000, 0.000)
H (0.250, 0.250, 0.250)
H (0.500, 0.500, 0.500)
H (0.750, 0.750, 0.750)

Calculated XRD peak list
Compound: LaH2
Radiation: Cu Ka
Structure: a PBE-relaxed structure
Intensities are scaled so that the largest is 1000.

Top 8 peaks for 10 to 80 degrees two-theta, sorted by position:
d (Å), 2θ/deg, I/Imax
3.265, 27.31, 1000
2.828, 31.64, 488
1.999, 45.36, 389
1.705, 53.76, 456
1.633, 56.36, 128
1.414, 66.09, 62
1.297, 72.91, 182
1.265, 75.13, 165

Cell and atoms:
Cell lengths 3.999, 3.999, 3.999 Å; angles 60.00, 60.00, 60.00 degrees
Fractional positions:
La (0.000, 0.000, 0.000)
H (0.250, 0.250, 0.250)
H (0.750, 0.750, 0.750)

Calculated XRD peak list
Compound: LaMg2H7
Radiation: Cu Ka
Structure: a PBE-relaxed structure
Intensities are scaled so that the largest is 1000.

Top 8 peaks for 10 to 80 degrees two-theta, sorted by position:
d (Å), 2θ/deg, I/Imax
5.292, 16.75, 907
3.272, 27.26, 1000
3.180, 28.06, 473
2.844, 31.46, 595
2.726, 32.85, 967
1.908, 47.67, 234
1.853, 49.16, 390
1.735, 52.77, 224

Cell and atoms:
Cell lengths 6.361, 6.361, 9.537 Å; angles 90.00, 90.00, 90.00 degrees
Fractional positions:
La (0.230, 0.230, 0.000)
La (0.270, 0.730, 0.250)
La (0.730, 0.270, 0.750)
La (0.770, 0.770, 0.500)
Mg (0.025, 0.739, 0.898)
Mg (0.239, 0.475, 0.648)
Mg (0.261, 0.975, 0.602)
Mg (0.475, 0.239, 0.352)
Mg (0.525, 0.761, 0.852)
Mg (0.739, 0.025, 0.102)
Mg (0.761, 0.525, 0.148)
Mg (0.975, 0.261, 0.398)
H (0.032, 0.967, 0.379)
H (0.033, 0.968, 0.121)
H (0.066, 0.429, 0.820)
H (0.071, 0.566, 0.070)
H (0.161, 0.695, 0.504)
H (0.195, 0.339, 0.254)
H (0.242, 0.758, 0.750)
H (0.258, 0.258, 0.500)
H (0.305, 0.839, 0.996)
H (0.339, 0.195, 0.746)
H (0.429, 0.066, 0.180)
H (0.434, 0.929, 0.430)
H (0.467, 0.468, 0.129)
H (0.468, 0.467, 0.871)
H (0.532, 0.533, 0.371)
H (0.533, 0.532, 0.629)
H (0.566, 0.071, 0.930)
H (0.571, 0.934, 0.680)
H (0.661, 0.805, 0.246)
H (0.695, 0.161, 0.496)
H (0.742, 0.742, 0.000)
H (0.758, 0.242, 0.250)
H (0.805, 0.661, 0.754)
H (0.839, 0.305, 0.004)
H (0.929, 0.434, 0.570)
H (0.934, 0.571, 0.320)
H (0.967, 0.032, 0.621)
H (0.968, 0.033, 0.879)

Please write out number 3 again, unchanged.
Calculated XRD peak list
Compound: K3ReH6
Radiation: Cu Ka
Structure: a PBE-relaxed structure
Intensities are scaled so that the largest is 1000.

Top 8 peaks for 10 to 80 degrees two-theta, sorted by position:
d (Å), 2θ/deg, I/Imax
4.997, 17.75, 482
4.327, 20.53, 264
3.060, 29.19, 1000
2.609, 34.37, 282
2.164, 41.75, 193
1.985, 45.70, 129
1.767, 51.75, 381
1.368, 68.58, 161

Cell and atoms:
Cell lengths 6.119, 6.119, 6.119 Å; angles 60.00, 60.00, 60.00 degrees
Fractional positions:
K (0.000, 0.000, 0.000)
K (0.250, 0.250, 0.250)
K (0.750, 0.750, 0.750)
Re (0.500, 0.500, 0.500)
H (0.294, 0.294, 0.706)
H (0.294, 0.706, 0.294)
H (0.294, 0.706, 0.706)
H (0.706, 0.294, 0.294)
H (0.706, 0.294, 0.706)
H (0.706, 0.706, 0.294)